# SrDyCu2Sb2
Simulated PXRD pattern, copper Kα. Input: a crystal structure in OQMD, relaxed with PBE.
Intensities are scaled so that the largest is 100.

Largest 6 diffraction maxima, by angle, 2θ = 10–90°:
- 8.420 Å, I 21, (0 0 1)
- 2.842 Å, I 100, (1 0 2)
- 2.224 Å, I 54, (1 1 0)
- 1.751 Å, I 24, (0 2 2)
- 1.529 Å, I 23, (1 1 4)
- 1.376 Å, I 21, (2 1 2)

Atomic structure:
abc: 4.448 4.448 8.420
angles: 90.00 90.00 120.00
Atoms (fractional coordinates):
1 Sr 0.000 0.000 0.000
2 Dy 0.000 0.000 0.500
3 Cu 0.333 0.667 0.301
4 Cu 0.667 0.333 0.702
5 Sb 0.333 0.667 0.737
6 Sb 0.667 0.333 0.263